Starting from a GGA-PBE-relaxed structure, the X-ray powder pattern of ReMo2 was calculated for λ = 1.5418 Å (Cu Kα).

Most intense lines, 10° ≤ 2θ ≤ 90°, by angle:
| index | 2θ/deg | I (rel.) |
| --- | --- | --- |
| 1 1 1 | 28.5 | 16 |
| 2 1 0 | 39.2 | 46 |
| 0 1 3 | 39.7 | 100 |
| 2 0 2 | 40.4 | 22 |
| 2 1 1 | 40.9 | 35 |
| 0 2 0 | 41.1 | 46 |
| 2 1 2 | 45.6 | 15 |
| 2 0 3 | 48.1 | 25 |
| 2 2 3 | 65.1 | 20 |
| 0 3 3 | 74.0 | 16 |

Crystal structure
```
data_ReMo2
_chemical_formula_sum 'Re4 Mo8'
_cell_length_a 5.394
_cell_length_b 4.390
_cell_length_c 7.963
_cell_angle_alpha 90.00
_cell_angle_beta 90.00
_cell_angle_gamma 90.00
_space_group_name_H-M_alt 'P n m a'
_space_group_IT_number 62
_space_group_name_Hall '-P 2ac 2n'
loop_
_atom_site_label
_atom_site_type_symbol
_atom_site_fract_x
_atom_site_fract_y
_atom_site_fract_z
Re1 Re 0.169 0.250 0.074
Mo1 Mo 0.009 0.250 0.751
Mo2 Mo 0.167 0.250 0.419
```